# 1
Starting from a GGA-PBE-relaxed structure, the powder diffractogram of Ba2CoN2 was computed for Cu Kα (weighted mean of Kα1 and Kα2).

Main lines, sorted by position (2θ = 5–70°):
two_theta	I_rel	h k l
22.7	178	1 0 1
27.7	172	0 0 4
30.1	1000	1 0 3
30.7	788	1 1 0
41.8	217	1 1 4
43.9	282	2 0 0
53.0	134	1 1 6
54.2	383	2 1 3

Cell and atoms:
a b c (Å): 4.121 4.121 12.867
angles (deg): 90.00 90.00 90.00
Space group I4/mmm (No. 139)
One atom of each set of equivalent atoms:
Ba (0.000, 0.000, 0.142) x4
Co (0.000, 0.000, 0.500) x2
N (0.000, 0.000, 0.367) x4



# 2
Starting from a GGA-PBE-relaxed structure, the powder diffractogram of BaNd2CoS5 was computed for Cu Kα (weighted mean of Kα1 and Kα2).

Main lines, sorted by position (2θ = 5–70°):
two_theta	I_rel	h k l
26.2	1000	2 0 2
26.4	284	0 0 4
32.1	204	2 2 0
32.3	847	2 1 3
36.1	359	3 1 0
42.1	471	2 2 4
48.1	232	4 0 2
52.0	265	4 2 0

Cell and atoms:
a b c (Å): 7.878 7.878 13.509
angles (deg): 90.00 90.00 90.00
Space group I4/mcm (No. 140)
One atom of each set of equivalent atoms:
Ba (0.000, 0.000, 0.250) x4
Nd (0.163, 0.337, 0.000) x8
Co (0.000, 0.500, 0.250) x4
S (0.000, 0.000, 0.000) x4
S (0.145, 0.355, 0.365) x16



# 3
Starting from a GGA-PBE-relaxed structure, the powder diffractogram of BaCoSe2 was computed for Cu Kα (weighted mean of Kα1 and Kα2).

Main lines, sorted by position (2θ = 5–70°):
two_theta	I_rel	h k l
22.6	162	1 0 1
30.1	348	1 1 0
32.2	1000	1 0 3
34.2	156	1 1 2
43.1	306	2 0 0
54.8	438	2 1 3
58.6	231	1 1 6
62.6	99	2 2 0

Cell and atoms:
a b c (Å): 4.200 4.200 11.140
angles (deg): 90.00 90.00 90.00
Space group I-4m2 (No. 119)
One atom of each set of equivalent atoms:
Ba (0.000, 0.000, 0.000) x2
Co (0.000, 0.500, 0.750) x2
Se (0.000, 0.000, 0.341) x4